Structure and computed PXRD pattern of Mg6NbFeO8 (a cell relaxed with GGA+U; Cu Kα (λ = 1.5418 Å)).
Kinematic intensities with the Lorentz-polarization factor, no thermal factor.

Most intense lines, 10° ≤ 2θ ≤ 80°, by angle:
d = 4.412 Å, 2θ 20.1, I = 20, (0 0 2); d = 4.308 Å, 2θ 20.6, I = 37, (1 0 0); d = 3.082 Å, 2θ 29.0, I = 32, (1 0 2); d = 2.507 Å, 2θ 35.8, I = 51, (1 1 2); d = 2.206 Å, 2θ 40.9, I = 53, (0 0 4); d = 2.154 Å, 2θ 41.9, I = 100, (2 0 0); d = 1.541 Å, 2θ 60.0, I = 59, (2 0 4); d = 1.523 Å, 2θ 60.8, I = 29, (2 2 0); d = 1.302 Å, 2θ 72.6, I = 17, (3 1 2); d = 1.253 Å, 2θ 75.9, I = 27, (2 2 4)

Structure:
```
data_Mg6NbFeO8
_chemical_formula_sum 'Mg6 Nb1 Fe1 O8'
_cell_length_a 4.308
_cell_length_b 4.308
_cell_length_c 8.823
_cell_angle_alpha 90.00
_cell_angle_beta 90.00
_cell_angle_gamma 90.00
_space_group_name_H-M_alt 'P 4/m m m'
_space_group_IT_number 123
_space_group_name_Hall '-P 4 2'
loop_
_atom_site_label
_atom_site_type_symbol
_atom_site_fract_x
_atom_site_fract_y
_atom_site_fract_z
Mg1 Mg 0.000 0.000 0.000
Mg2 Mg 0.000 0.000 0.500
Mg3 Mg 0.000 0.500 0.236
Nb1 Nb 0.500 0.500 0.500
Fe1 Fe 0.500 0.500 0.000
O1 O 0.000 0.000 0.251
O2 O 0.000 0.500 0.000
O3 O 0.000 0.500 0.500
O4 O 0.500 0.500 0.256
```